Nd12BiRu6: theoretical XRD peak list (Cu Kα), based on a crystal structure in Alexandria, relaxed with GGA-PBE.
No peak broadening, texture or thermal motion is included.

Principal peaks in the range 10° ≤ 2θ ≤ 90°, in order of rising 2θ:
2θ/deg, I_rel
27.6, 17
30.3, 46
32.8, 100
35.1, 22
45.3, 30
52.2, 25
55.4, 32
64.5, 21
79.6, 14
80.9, 16

Cell and atoms:
Unit cell a=10.217 b=10.217 c=10.217 alpha=90.00 beta=90.00 gamma=90.00
Space group Im-3 (No. 204)
Inequivalent atoms, fractional coordinates:
Nd (0.000, 0.300, 0.196) [24 per cell]
Bi (0.000, 0.000, 0.000) [2 per cell]
Ru (0.000, 0.120, 0.500) [12 per cell]